Calculated XRD peak list
Compound: CaTm2Te4
Radiation: copper Kα
Structure: a DFT-relaxed cell (GGA-PBE, the Materials Project)
Intensities are scaled so that the largest is 100.

Largest 8 diffraction maxima, most intense first, 10° ≤ 2θ ≤ 80°:
- 2θ 28.6, d 3.126, I = 100, hkl 1 1 1
- 2θ 12.0, d 7.360, I = 52, hkl 0 0 1
- 2θ 29.1, d 3.067, I = 48, hkl 2 0 -2
- 2θ 40.7, d 2.219, I = 38, hkl 1 1 -3
- 2θ 41.8, d 2.161, I = 36, hkl 3 1 -1
- 2θ 51.3, d 1.780, I = 22, hkl 2 2 -2
- 2θ 40.3, d 2.236, I = 19, hkl 2 0 2
- 2θ 41.3, d 2.185, I = 19, hkl 0 2 0

Cell and atoms:
```
CaTm2Te4
1.0
7.4581 0.0000 0.0000
0.0000 4.3705 0.0000
-2.3670 0.0000 7.3603
Ca Tm Te
1 2 4
Direct
0.0000 0.0000 0.0000
0.0000 0.5000 0.5000
0.5000 0.0000 0.5000
0.2456 0.0000 0.7353
0.2612 0.5000 0.2582
0.7388 0.5000 0.7418
0.7544 0.0000 0.2647
```